[1]
Starting from a cell relaxed with PBE, the powder XRD pattern of Cs3H4Pt was calculated for Cu Kα X-rays.
Neutral-atom scattering factors, no anomalous dispersion.

Largest 10 diffraction maxima, sorted by position, 10° ≤ 2θ ≤ 80°:
2θ (°), Rel. int., index
26.7, 100, 1 1 2
29.1, 21, 0 2 0
30.7, 18, 2 0 0
33.0, 14, 0 0 4
42.8, 14, 2 2 0
44.6, 12, 0 2 4
50.2, 18, 1 3 2
52.2, 16, 3 1 2
55.1, 13, 2 2 4
55.3, 13, 1 1 6

Cell lengths 5.830, 6.135, 10.848 Å; angles 90.00, 90.00, 90.00 degrees
Space group Immm (No. 71)
One atom of each set of equivalent atoms:
1 Cs 0.000 0.000 0.000 x2
2 Cs 0.000 0.500 0.244 x4
3 H 0.000 0.000 0.344 x4
4 H 0.000 0.273 0.500 x4
5 Pt 0.000 0.000 0.500 x2

***

[2]
Starting from a cell relaxed with PBE, the powder XRD pattern of CsH8Pt2 was calculated for Cu Kα X-rays.
Neutral-atom scattering factors, no anomalous dispersion.

Largest 10 diffraction maxima, sorted by position, 10° ≤ 2θ ≤ 80°:
2θ (°), Rel. int., index
14.0, 42, 0 0 1
24.6, 12, 0 1 0
28.4, 100, 0 1 1
32.5, 23, 2 0 -1
43.2, 11, 2 0 1
43.5, 21, 2 1 0
44.0, 20, 2 1 -2
44.1, 10, 2 0 -3
50.2, 13, 0 1 3
50.4, 11, 0 2 0

Cell lengths 5.503, 3.624, 6.831 Å; angles 90.00, 112.64, 90.00 degrees
Space group P2/m (No. 10)
One atom of each set of equivalent atoms:
1 Cs 0.000 0.000 0.000 x1
2 H 0.080 0.500 0.676 x2
3 H 0.261 0.000 0.520 x2
4 H 0.409 0.500 0.319 x2
5 H 0.500 0.105 0.000 x2
6 Pt 0.258 0.500 0.514 x2

***

[3]
Starting from a cell relaxed with PBE, the powder XRD pattern of CsHPt was calculated for Cu Kα X-rays.
Neutral-atom scattering factors, no anomalous dispersion.

Largest 10 diffraction maxima, sorted by position, 10° ≤ 2θ ≤ 80°:
2θ (°), Rel. int., index
17.1, 4, 2 0 0
30.5, 100, 2 1 0
34.5, 18, 4 0 0
35.8, 32, 0 1 2
50.6, 24, 4 1 2
51.5, 12, 0 2 0
59.4, 15, 6 1 0
61.0, 28, 2 2 2
63.5, 13, 4 2 0
75.8, 4, 0 2 4

Cell lengths 10.388, 3.550, 7.100 Å; angles 90.00, 90.00, 90.00 degrees
Space group Pmc2_1 (No. 26)
One atom of each set of equivalent atoms:
1 Cs 0.250 0.001 0.000 x4
2 H 0.000 0.000 0.251 x2
3 H 0.500 0.499 0.500 x2
4 Pt 0.000 0.500 0.250 x2
5 Pt 0.500 0.500 0.250 x2